# Pm3CuNi3
Simulated powder XRD pattern, λ = 1.5418 Å (Cu Kα). Input: a cell relaxed with GGA-PBE.
Peak positions follow from Bragg's law for the DFT cell and can differ from measured ones.

a = 5.4272 Å, b = 5.4272 Å, c = 13.2250 Å
α = 90.00°, β = 90.00°, γ = 134.76°
Atoms (fractional coordinates):
Pm 0.0075 0.9925 0.7500
Pm 0.2899 0.7101 0.6031
Pm 0.2899 0.7101 0.8969
Pm 0.7101 0.2899 0.1031
Pm 0.7101 0.2899 0.3969
Pm 0.9925 0.0075 0.2500
Cu 0.0000 0.0000 0.0000
Cu 0.0000 0.0000 0.5000
Ni 0.2872 0.7128 0.2500
Ni 0.4236 0.5764 0.0881
Ni 0.4236 0.5764 0.4119
Ni 0.5764 0.4236 0.5881
Ni 0.5764 0.4236 0.9119
Ni 0.7128 0.2872 0.7500

Main lines, most intense first (2θ from 10° to 90°):
2θ/deg  I/Imax
35.80  100.0
40.18  79.9
34.39  75.1
30.82  70.8
43.35  50.2
32.45  49.6



# Dy3Pu4S8
Simulated powder XRD pattern, λ = 1.5418 Å (Cu Kα). Input: a cell relaxed with GGA-PBE.
Peak positions follow from Bragg's law for the DFT cell and can differ from measured ones.

a = 7.8514 Å, b = 7.8514 Å, c = 7.8446 Å
α = 119.89°, β = 119.89°, γ = 90.06°
Atoms (fractional coordinates):
Dy 0.0000 0.0000 0.0000
Dy 0.0000 0.5000 0.5000
Dy 0.5000 0.0000 0.5000
Pu 0.0000 0.0000 0.5000
Pu 0.0000 0.5000 0.0000
Pu 0.5000 0.0000 0.0000
Pu 0.5000 0.5000 0.0000
S 0.2481 0.2481 0.9974
S 0.2493 0.7507 0.0000
S 0.2497 0.2497 0.4960
S 0.2499 0.7501 0.5000
S 0.7501 0.2499 0.5000
S 0.7503 0.7503 0.5040
S 0.7507 0.2493 0.0000
S 0.7519 0.7519 0.0026

Main lines, most intense first (2θ from 10° to 90°):
2θ/deg  I/Imax
32.23  100.0
27.82  88.6
46.18  36.7
46.27  36.5
54.78  29.7
13.81  20.3



# PmPuCu2Se4
Simulated powder XRD pattern, λ = 1.5418 Å (Cu Kα). Input: a cell relaxed with GGA-PBE.
Peak positions follow from Bragg's law for the DFT cell and can differ from measured ones.

a = 6.2139 Å, b = 6.2139 Å, c = 6.2139 Å
α = 112.38°, β = 112.31°, γ = 103.86°
Atoms (fractional coordinates):
Pm 0.0000 0.0000 0.0000
Pu 0.5000 0.5000 0.0000
Cu 0.3301 0.8301 0.5000
Cu 0.6699 0.1699 0.5000
Se 0.0400 0.5440 0.0193
Se 0.4753 0.4560 0.4959
Se 0.5247 0.0206 0.9807
Se 0.9600 0.9794 0.5041

Main lines, most intense first (2θ from 10° to 90°):
2θ/deg  I/Imax
34.95  100.0
29.61  97.1
36.74  85.1
47.88  51.0
18.13  39.9
65.02  32.6



# Nb3Tl4PbO12
Simulated powder XRD pattern, λ = 1.5418 Å (Cu Kα). Input: a cell relaxed with GGA-PBE.
Peak positions follow from Bragg's law for the DFT cell and can differ from measured ones.

a = 7.1923 Å, b = 7.1923 Å, c = 7.1923 Å
α = 109.47°, β = 109.47°, γ = 109.47°
Atoms (fractional coordinates):
Nb 0.0000 0.5000 0.5000
Nb 0.5000 0.0000 0.5000
Nb 0.5000 0.5000 0.0000
Tl 0.0000 0.0000 0.5000
Tl 0.0000 0.5000 0.0000
Tl 0.5000 0.0000 0.0000
Tl 0.5000 0.5000 0.5000
Pb 0.0000 0.0000 0.0000
O 0.0000 0.2628 0.2628
O 0.0000 0.7372 0.7372
O 0.2500 0.5000 0.7500
O 0.2500 0.7500 0.5000
O 0.2628 0.0000 0.2628
O 0.2628 0.2628 0.0000
O 0.5000 0.2500 0.7500
O 0.5000 0.7500 0.2500
O 0.7372 0.0000 0.7372
O 0.7372 0.7372 0.0000
O 0.7500 0.2500 0.5000
O 0.7500 0.5000 0.2500

Main lines, most intense first (2θ from 10° to 90°):
2θ/deg  I/Imax
30.44  100.0
54.10  41.2
43.59  27.5
88.00  22.3
71.90  18.1
63.35  17.5



# Th4AsP2S
Simulated powder XRD pattern, λ = 1.5418 Å (Cu Kα). Input: a cell relaxed with GGA-PBE.
Peak positions follow from Bragg's law for the DFT cell and can differ from measured ones.

a = 7.1726 Å, b = 4.1477 Å, c = 7.2026 Å
α = 90.00°, β = 109.50°, γ = 90.00°
Atoms (fractional coordinates):
Th 0.2433 0.0000 0.2400
Th 0.2496 0.5000 0.7577
Th 0.7504 0.5000 0.2423
Th 0.7567 0.0000 0.7600
As 0.5000 0.5000 0.5000
P 0.0000 0.5000 0.0000
P 0.5000 0.0000 0.0000
S 0.0000 0.0000 0.5000

Main lines, most intense first (2θ from 10° to 90°):
2θ/deg  I/Imax
30.47  100.0
26.29  64.6
43.60  50.0
51.63  25.3
43.70  25.1
72.03  23.0



# Pr8Er6In
Simulated powder XRD pattern, λ = 1.5418 Å (Cu Kα). Input: a cell relaxed with GGA-PBE.
Peak positions follow from Bragg's law for the DFT cell and can differ from measured ones.

a = 9.3461 Å, b = 9.3461 Å, c = 6.6132 Å
α = 90.00°, β = 90.00°, γ = 120.00°
Atoms (fractional coordinates):
Pr 0.0428 0.7668 0.3226
Pr 0.2332 0.2760 0.3226
Pr 0.2760 0.0428 0.6774
Pr 0.3333 0.6667 0.3618
Pr 0.6667 0.3333 0.6382
Pr 0.7240 0.9572 0.3226
Pr 0.7668 0.7240 0.6774
Pr 0.9572 0.2332 0.6774
Er 0.0996 0.6535 0.8405
Er 0.3465 0.4461 0.8405
Er 0.4461 0.0996 0.1595
Er 0.5539 0.9004 0.8405
Er 0.6535 0.5539 0.1595
Er 0.9004 0.3465 0.1595
In 0.0000 0.0000 0.0000

Main lines, most intense first (2θ from 10° to 90°):
2θ/deg  I/Imax
32.24  100.0
29.18  51.9
33.19  47.0
51.08  20.2
62.30  17.4
25.81  17.3



# CeCuNi2H8
Simulated powder XRD pattern, λ = 1.5418 Å (Cu Kα). Input: a cell relaxed with GGA-PBE.
Peak positions follow from Bragg's law for the DFT cell and can differ from measured ones.

a = 6.0535 Å, b = 6.0535 Å, c = 6.0535 Å
α = 42.90°, β = 42.90°, γ = 42.90°
Atoms (fractional coordinates):
Ce 0.0000 0.0000 0.0000
Cu 0.5000 0.5000 0.5000
Ni 0.1998 0.1998 0.1998
Ni 0.8002 0.8002 0.8002
H 0.1324 0.8165 0.4034
H 0.1835 0.5966 0.8676
H 0.3009 0.3009 0.3009
H 0.4034 0.1324 0.8165
H 0.5966 0.8676 0.1835
H 0.6991 0.6991 0.6991
H 0.8165 0.4034 0.1324
H 0.8676 0.1835 0.5966

Main lines, most intense first (2θ from 10° to 90°):
2θ/deg  I/Imax
31.90  100.0
40.76  94.4
53.16  47.1
35.95  45.4
23.83  41.6
32.64  31.6



# SrZn6Ga4
Simulated powder XRD pattern, λ = 1.5418 Å (Cu Kα). Input: a cell relaxed with GGA-PBE.
Peak positions follow from Bragg's law for the DFT cell and can differ from measured ones.

a = 7.4735 Å, b = 7.4735 Å, c = 4.1846 Å
α = 90.00°, β = 90.00°, γ = 120.00°
Atoms (fractional coordinates):
Sr 0.0000 0.0000 0.0000
Zn 0.0710 0.5355 0.0000
Zn 0.4066 0.2033 0.5000
Zn 0.4645 0.5355 0.0000
Zn 0.4645 0.9290 0.0000
Zn 0.7967 0.2033 0.5000
Zn 0.7967 0.5934 0.5000
Ga 0.2017 0.4034 0.5000
Ga 0.2017 0.7983 0.5000
Ga 0.5966 0.7983 0.5000
Ga 0.6667 0.3333 0.0000

Main lines, most intense first (2θ from 10° to 90°):
2θ/deg  I/Imax
35.05  100.0
42.82  58.5
36.74  42.3
43.24  35.0
32.11  30.1
48.74  25.1



# CdBiRh
Simulated powder XRD pattern, λ = 1.5418 Å (Cu Kα). Input: a cell relaxed with GGA-PBE.
Peak positions follow from Bragg's law for the DFT cell and can differ from measured ones.

a = 6.7274 Å, b = 6.7274 Å, c = 6.7274 Å
α = 151.92°, β = 151.92°, γ = 40.13°
Atoms (fractional coordinates):
Cd 0.0000 0.0000 0.0000
Bi 0.7315 0.7315 0.0000
Rh 0.3650 0.3650 0.0000

Main lines, most intense first (2θ from 10° to 90°):
2θ/deg  I/Imax
34.77  100.0
39.03  47.9
28.24  32.8
67.97  28.4
45.38  25.2
14.01  20.2